Structure and theoretical X-ray powder pattern of Li4Fe2Cu3Te3O16 (a cell relaxed with PBE+U; Cu Kα X-rays).
Intensities are scaled so that the largest is 100.

Main lines, low angle first (10° ≤ 2θ ≤ 90°):
| h k l | 2theta | I (rel.) |
| --- | --- | --- |
| 0 1 -1 | 17.86 | 32 |
| 0 0 2 | 18.41 | 100 |
| 1 -1 1 | 19.08 | 33 |
| 0 2 -1 | 32.94 | 17 |
| 0 2 1 | 34.29 | 22 |
| -2 2 1 | 35.04 | 21 |
| 2 0 1 | 35.61 | 18 |
| 0 0 4 | 37.30 | 18 |
| 0 2 -3 | 41.42 | 17 |
| 2 -2 3 | 44.34 | 15 |

Crystal structure
```
data_Li4Fe2Cu3Te3O16
_space_group_name_H-M_alt 'P 1'
_space_group_IT_number 1
_space_group_name_Hall 'P 1'
_cell_length_a 6.0754
_cell_length_b 6.3142
_cell_length_c 9.6741
_cell_angle_alpha 92.47
_cell_angle_beta 92.60
_cell_angle_gamma 118.25
loop_
_atom_site_label
_atom_site_type_symbol
_atom_site_fract_x
_atom_site_fract_y
_atom_site_fract_z
_atom_site_occupancy
Li1 Li 0.0000 0.0000 0.0000 1
Li2 Li 0.0685 0.0834 0.5306 1
Li3 Li 0.3554 0.6908 0.6130 1
Li4 Li 0.7282 0.3548 0.1007 1
Fe1 Fe 0.3287 0.6091 0.9956 1
Fe2 Fe 0.6534 0.3008 0.5353 1
Cu1 Cu 0.2548 0.3529 0.2641 1
Cu2 Cu 0.3440 0.1511 0.7956 1
Cu3 Cu 0.8395 0.1558 0.7912 1
Te1 Te 0.1821 0.8346 0.2802 1
Te2 Te 0.6990 0.8804 0.3010 1
Te3 Te 0.8310 0.6406 0.7856 1
O1 O 0.1029 0.5099 0.1546 1
O2 O 0.1334 0.7728 0.9151 1
O3 O 0.1745 0.2953 0.9073 1
O4 O 0.3492 0.1676 0.4019 1
O5 O 0.3829 0.7235 0.4013 1
O6 O 0.5099 0.9869 0.1729 1
O7 O 0.5266 0.0485 0.6651 1
O8 O 0.5421 0.4944 0.6463 1
O9 O 0.5726 0.5863 0.1755 1
O10 O 0.6616 0.7688 0.9039 1
O11 O 0.6919 0.3416 0.8887 1
O12 O 0.8282 0.1678 0.4252 1
O13 O 0.8661 0.7536 0.4196 1
O14 O 0.9679 0.4998 0.6507 1
O15 O 0.9785 0.0440 0.1887 1
O16 O 0.9889 0.9616 0.7084 1
```